This entry pairs a crystal structure of Y3Se2O2 with its theoretical powder X-ray diffraction pattern. Radiation: Cu Kα (λ = 1.5418 Å). Structure: a cell relaxed with PBE.
No peak broadening, texture or thermal motion is included.

Structural model:
Unit cell a=3.589 b=6.044 c=6.963 alpha=98.04 beta=90.02 gamma=107.21
Sites, in units of the cell vectors:
Y: 0.000 0.000 0.000
Y: 0.231 0.462 0.773
Y: 0.769 0.538 0.227
Se: 0.116 0.230 0.375
Se: 0.884 0.770 0.625
O: 0.364 0.727 0.066
O: 0.636 0.273 0.934

Principal peaks in the range 15 to 90 degrees two-theta, by angle:
2theta, I_rel
18.67, 138
26.02, 519
32.13, 322
32.26, 689
35.51, 1000
37.86, 184
40.12, 163
45.66, 144
46.65, 414
50.75, 334
50.88, 192
61.54, 201